Computed XRD peak list of Dy3Ho4Co4 for a wavelength of 1.5418 Å, from the PBE geometry in Alexandria.
Kinematic intensities with the Lorentz-polarization factor, no thermal factor.

Structural model:
Cell: 9.0631 9.0631 9.0631 Å, 157.10 122.30 62.90°
Atoms (fractional coordinates):
1 Dy 0.0000 0.0000 0.0000
2 Dy 0.3966 0.8966 0.5000
3 Dy 0.6034 0.1034 0.5000
4 Ho 0.0197 0.3343 0.6853
5 Ho 0.3510 0.6657 0.6853
6 Ho 0.6490 0.3343 0.3147
7 Ho 0.9803 0.6657 0.3147
8 Co 0.2513 0.2513 0.0000
9 Co 0.2856 0.5000 0.7856
10 Co 0.7144 0.5000 0.2144
11 Co 0.7487 0.7487 0.0000

Most intense lines, 10 to 90 degrees two-theta, in order of rising 2θ:
2θ/deg, I_rel
30.30, 35
30.66, 34
32.75, 100
35.37, 67
35.60, 73
63.88, 35

Computed XRD peak list of Li8Pb for a wavelength of 1.5418 Å, from the PBE geometry in Alexandria.
Kinematic intensities with the Lorentz-polarization factor, no thermal factor.

Structural model:
Cell: 6.5684 6.5684 6.5684 Å, 97.29 97.29 138.27°
Atoms (fractional coordinates):
1 Li 0.0000 0.3306 0.3306
2 Li 0.0000 0.6694 0.6694
3 Li 0.3306 0.0000 0.3306
4 Li 0.3407 0.3407 0.6814
5 Li 0.3407 0.6593 0.0000
6 Li 0.6593 0.3407 0.0000
7 Li 0.6593 0.6593 0.3186
8 Li 0.6694 0.0000 0.6694
9 Pb 0.0000 0.0000 0.0000

Most intense lines, 10 to 90 degrees two-theta, in order of rising 2θ:
2θ/deg, I_rel
14.43, 100
20.46, 46
21.58, 80
29.91, 73
36.51, 33
42.22, 30

Computed XRD peak list of CePm2Th4 for a wavelength of 1.5418 Å, from the PBE geometry in Alexandria.
Kinematic intensities with the Lorentz-polarization factor, no thermal factor.

Structural model:
Cell: 18.1672 18.1672 3.5418 Å, 90.00 90.00 168.81°
Atoms (fractional coordinates):
1 Ce 0.0000 0.0000 0.0000
2 Pm 0.2937 0.7063 0.5000
3 Pm 0.7063 0.2937 0.5000
4 Th 0.1356 0.8644 0.0000
5 Th 0.4329 0.5671 0.5000
6 Th 0.5671 0.4329 0.5000
7 Th 0.8644 0.1356 0.0000

Most intense lines, 10 to 90 degrees two-theta, in order of rising 2θ:
2θ/deg, I_rel
29.25, 30
30.60, 100
32.11, 69
35.94, 68
52.70, 45
61.20, 29